Starting from DFT lattice parameters and positions (PBE), the X-ray diffraction stick pattern of SmDyRh2 was simulated for copper Kα.

Top 9 peaks for 2θ from 10° to 90°, by angle:
h k l  d/Å  I (rel.)
2 0 0  3.470  4
2 2 0  2.453  100
2 2 2  2.003  1
4 0 0  1.735  17
4 2 0  1.552  2
4 2 2  1.416  35
4 4 0  1.227  11
6 0 0  1.157  1
6 2 0  1.097  16

Structural model:
```
SmDyRh2
1.0
6.9393 0.0000 0.0000
0.0000 6.9393 0.0000
0.0000 0.0000 6.9393
Sm Dy Rh
4 4 8
Cartesian
0.0000 0.0000 0.0000 Sm
0.0000 3.4696 3.4696 Sm
3.4696 0.0000 3.4696 Sm
3.4696 3.4696 0.0000 Sm
0.0000 0.0000 3.4696 Dy
0.0000 3.4696 0.0000 Dy
3.4696 0.0000 0.0000 Dy
3.4696 3.4696 3.4696 Dy
1.7348 1.7348 1.7348 Rh
1.7348 1.7348 5.2045 Rh
1.7348 5.2045 1.7348 Rh
1.7348 5.2045 5.2045 Rh
5.2045 1.7348 1.7348 Rh
5.2045 1.7348 5.2045 Rh
5.2045 5.2045 1.7348 Rh
5.2045 5.2045 5.2045 Rh
```

***

Starting from DFT lattice parameters and positions (PBE), the X-ray diffraction stick pattern of KI was simulated for copper Kα.

Top 10 peaks for 2θ from 10° to 90°, by angle:
h k l  d/Å  I (rel.)
1 1 1  4.148  47
2 0 0  3.593  100
2 2 0  2.540  77
3 1 1  2.166  26
2 2 2  2.074  28
4 0 0  1.796  13
4 2 0  1.607  36
4 2 2  1.467  26
6 0 0  1.198  17
6 2 0  1.136  12

Structural model:
```
KI
1.0
7.1853 0.0000 0.0000
0.0000 7.1853 0.0000
0.0000 0.0000 7.1853
K I
4 4
Cartesian
0.0000 0.0000 0.0000 K
0.0000 3.5927 3.5927 K
3.5927 0.0000 3.5927 K
3.5927 3.5927 0.0000 K
0.0000 0.0000 3.5927 I
0.0000 3.5927 0.0000 I
3.5927 0.0000 0.0000 I
3.5927 3.5927 3.5927 I
```

***

Starting from DFT lattice parameters and positions (PBE), the X-ray diffraction stick pattern of HoErTl2 was simulated for copper Kα.

Top 8 peaks for 2θ from 10° to 90°, by angle:
h k l  d/Å  I (rel.)
2 0 0  3.778  1
2 2 0  2.671  100
4 0 0  1.889  18
4 2 0  1.689  1
4 2 2  1.542  38
4 4 0  1.336  12
6 2 0  1.195  17
4 4 4  1.091  4

Structural model:
```
HoErTl2
1.0
7.5554 0.0000 0.0000
0.0000 7.5554 0.0000
0.0000 0.0000 7.5554
Ho Er Tl
4 4 8
Cartesian
0.0000 0.0000 0.0000 Ho
0.0000 3.7777 3.7777 Ho
3.7777 0.0000 3.7777 Ho
3.7777 3.7777 0.0000 Ho
0.0000 0.0000 3.7777 Er
0.0000 3.7777 0.0000 Er
3.7777 0.0000 0.0000 Er
3.7777 3.7777 3.7777 Er
1.8889 1.8889 1.8889 Tl
1.8889 1.8889 5.6666 Tl
1.8889 5.6666 1.8889 Tl
1.8889 5.6666 5.6666 Tl
5.6666 1.8889 1.8889 Tl
5.6666 1.8889 5.6666 Tl
5.6666 5.6666 1.8889 Tl
5.6666 5.6666 5.6666 Tl
```

***

Starting from DFT lattice parameters and positions (PBE), the X-ray diffraction stick pattern of Te6Mo3WS2 was simulated for copper Kα.

Top 10 peaks for 2θ from 10° to 90°, by angle:
h k l  d/Å  I (rel.)
0 0 5  7.855  85
1 0 0  2.988  50
1 0 2  2.955  15
0 1 8  2.553  100
0 1 10  2.379  25
1 0 11  2.292  15
1 0 13  2.125  55
1 1 0  1.726  34
2 0 8  1.430  16
1 1 21  1.268  17

Structural model:
```
Te6Mo3WS2
1.0
3.4519 0.0000 0.0000
-1.7259 2.9894 0.0000
0.0000 0.0000 39.2734
Te Mo W S
6 3 1 2
Cartesian
0.0000 0.0000 0.0000 Te
0.0000 0.0000 3.6966 Te
0.0000 0.0000 14.7413 Te
0.0000 0.0000 18.4586 Te
0.0000 1.9929 31.8896 Te
0.0000 1.9929 35.5860 Te
0.0000 0.0000 9.2228 Mo
0.0000 0.0000 33.7372 Mo
0.0000 1.9929 1.8480 Mo
0.0000 1.9929 16.6013 W
0.0000 1.9929 7.7336 S
0.0000 1.9929 10.7156 S
```